Entry 1:
The following is a theoretical X-ray diffraction stick pattern of AcPm3Nd3. It was derived from the PBE geometry in Alexandria, using copper Kα.
Intensities are scaled so that the largest is 100.

Peak list (6 most intense, 2θ = 10–80°, by angle)
2θ 27.43, intensity 23, (2 1 0); 2θ 29.86, intensity 25, (0 0 2); 2θ 31.30, intensity 100, (2 1 1); 2θ 48.49, intensity 20, (1 4 0); 2θ 53.91, intensity 22, (2 1 3); 2θ 57.99, intensity 23, (1 4 2)

a b c (Å): 9.9353 9.9353 5.9853
angles (deg): 90.00 90.00 120.00
Space group P6_3/m (No. 176)
One atom of each set of equivalent atoms:
Ac 0.3333 0.6667 0.2500 [2 per cell]
Pm 0.0441 0.2331 0.2500 [6 per cell]
Nd 0.0937 0.4712 0.7500 [6 per cell]

***

Entry 2:
The following is a theoretical X-ray diffraction stick pattern of Ac2Pm7Nd2. It was derived from the PBE geometry in Alexandria, using copper Kα.
Intensities are scaled so that the largest is 100.

Peak list (6 most intense, 2θ = 10–80°, by angle)
2θ 24.95, intensity 29, (3 1 -1); 2θ 29.53, intensity 83, (0 4 0); 2θ 30.51, intensity 100, (2 2 1); 2θ 31.08, intensity 24, (4 0 -1); 2θ 32.49, intensity 33, (2 2 -2); 2θ 32.67, intensity 27, (3 3 -1)

a b c (Å): 11.552 12.103 6.286
angles (deg): 90.00 112.39 90.00
Space group C2/m (No. 12)
One atom of each set of equivalent atoms:
Ac 0.229 0.000 0.086 [4 per cell]
Pm 0.000 0.000 0.500 [2 per cell]
Pm 0.087 0.500 0.304 [4 per cell]
Pm 0.171 0.237 0.663 [8 per cell]
Nd 0.000 0.229 0.000 [4 per cell]

***

Entry 3:
The following is a theoretical X-ray diffraction stick pattern of Ac3Pm5Nd4. It was derived from the PBE geometry in Alexandria, using copper Kα.
Intensities are scaled so that the largest is 100.

Peak list (6 most intense, 2θ = 10–80°, by angle)
2θ 29.13, intensity 100, (1 2 1); 2θ 29.33, intensity 32, (0 0 3); 2θ 33.79, intensity 45, (1 2 -2); 2θ 33.88, intensity 22, (2 0 2); 2θ 48.45, intensity 24, (3 2 0); 2θ 57.64, intensity 24, (4 0 1)

a b c (Å): 6.502 7.522 9.137
angles (deg): 90.11 90.12 90.04
Space group P-1 (No. 2)
One atom of each set of equivalent atoms:
Ac 0.000 0.000 0.000 [1 per cell]
Ac 0.500 0.253 0.000 [2 per cell]
Pm 0.000 0.500 0.000 [1 per cell]
Pm 0.166 0.252 0.338 [2 per cell]
Pm 0.334 0.000 0.660 [2 per cell]
Nd 0.166 0.748 0.338 [2 per cell]
Nd 0.329 0.500 0.661 [2 per cell]

***

Entry 4:
The following is a theoretical X-ray diffraction stick pattern of AcPm3Nd7. It was derived from the PBE geometry in Alexandria, using copper Kα.
Intensities are scaled so that the largest is 100.

Peak list (6 most intense, 2θ = 10–80°, by angle)
2θ 27.26, intensity 26, (2 2 1); 2θ 29.57, intensity 97, (2 0 -2); 2θ 29.95, intensity 100, (4 0 0); 2θ 30.67, intensity 94, (1 3 1); 2θ 32.02, intensity 73, (2 0 2); 2θ 36.46, intensity 68, (3 3 -1)

a b c (Å): 11.981 10.247 6.670
angles (deg): 90.00 95.22 90.00
Space group C2/m (No. 12)
One atom of each set of equivalent atoms:
Ac 0.000 0.000 0.000 [2 per cell]
Pm 0.000 0.328 0.500 [4 per cell]
Pm 0.000 0.500 0.000 [2 per cell]
Nd 0.000 0.000 0.500 [2 per cell]
Nd 0.234 0.500 0.703 [4 per cell]
Nd 0.250 0.176 0.760 [8 per cell]

***

Entry 5:
The following is a theoretical X-ray diffraction stick pattern of Ac7PmNd12. It was derived from the PBE geometry in Alexandria, using copper Kα.
Intensities are scaled so that the largest is 100.

Peak list (6 most intense, 2θ = 10–80°, by angle)
2θ 20.62, intensity 70, (2 2 0); 2θ 29.33, intensity 86, (4 0 0); 2θ 36.12, intensity 100, (4 2 2); 2θ 41.96, intensity 34, (4 4 0); 2θ 56.54, intensity 68, (6 2 4); 2θ 64.96, intensity 28, (8 2 2)

a b c (Å): 12.181 12.181 12.181
angles (deg): 90.00 90.00 90.00
Space group Im-3 (No. 204)
One atom of each set of equivalent atoms:
Ac 0.000 0.000 0.500 [6 per cell]
Ac 0.250 0.250 0.250 [8 per cell]
Pm 0.000 0.000 0.000 [2 per cell]
Nd 0.000 0.243 0.325 [24 per cell]

***

Entry 6:
The following is a theoretical X-ray diffraction stick pattern of AcPm6Nd10. It was derived from the PBE geometry in Alexandria, using copper Kα.
Intensities are scaled so that the largest is 100.

Peak list (6 most intense, 2θ = 10–80°, by angle)
2θ 30.06, intensity 22, (3 -1 1); 2θ 30.97, intensity 100, (1 1 2); 2θ 44.36, intensity 15, (4 -2 2); 2θ 55.06, intensity 15, (4 1 2); 2θ 55.16, intensity 10, (2 -1 4); 2θ 57.79, intensity 10, (4 0 3)

a b c (Å): 10.0119 10.0119 7.0620
angles (deg): 90.00 90.00 120.00
Space group P-31m (No. 162)
One atom of each set of equivalent atoms:
Ac 0.0000 0.0000 0.0000 [1 per cell]
Pm 0.0000 0.3738 0.8081 [6 per cell]
Nd 0.0000 0.2791 0.3253 [6 per cell]
Nd 0.3333 0.6667 0.0000 [2 per cell]
Nd 0.3333 0.6667 0.5000 [2 per cell]

***

Entry 7:
The following is a theoretical X-ray diffraction stick pattern of Ac4Pm2PrNd. It was derived from the PBE geometry in Alexandria, using copper Kα.
Intensities are scaled so that the largest is 100.

Peak list (6 most intense, 2θ = 10–80°, by angle)
2θ 26.86, intensity 100, (2 2 0); 2θ 27.49, intensity 41, (1 1 2); 2θ 30.67, intensity 43, (2 0 2); 2θ 36.28, intensity 29, (2 2 2); 2θ 38.35, intensity 39, (4 0 0); 2θ 38.82, intensity 33, (3 1 2)

a b c (Å): 9.388 9.388 7.437
angles (deg): 90.00 90.00 90.00
Space group I-42m (No. 121)
One atom of each set of equivalent atoms:
Ac 0.250 0.250 0.218 [8 per cell]
Pm 0.000 0.500 0.250 [4 per cell]
Pr 0.000 0.000 0.000 [2 per cell]
Nd 0.000 0.000 0.500 [2 per cell]

***

Entry 8:
The following is a theoretical X-ray diffraction stick pattern of Ac6Pm2PrNd. It was derived from the PBE geometry in Alexandria, using copper Kα.
Intensities are scaled so that the largest is 100.

Peak list (6 most intense, 2θ = 10–80°, by angle)
2θ 25.45, intensity 45, (1 1 2); 2θ 27.67, intensity 34, (2 0 2); 2θ 28.46, intensity 100, (2 2 -1); 2θ 30.59, intensity 82, (0 2 2); 2θ 31.06, intensity 36, (2 2 1); 2θ 52.36, intensity 49, (2 2 4)

a b c (Å): 11.973 7.588 9.490
angles (deg): 90.00 104.63 90.00
Space group C2/m (No. 12)
One atom of each set of equivalent atoms:
Ac 0.135 0.000 0.417 [4 per cell]
Ac 0.166 0.259 0.796 [8 per cell]
Pm 0.090 0.500 0.159 [4 per cell]
Pr 0.000 0.000 0.000 [2 per cell]
Nd 0.000 0.500 0.500 [2 per cell]